This entry pairs a crystal structure of Er12TmTh3 with its simulated powder X-ray diffraction pattern. Radiation: CuKα. Structure: a DFT-relaxed cell (GGA-PBE, Alexandria).
Kinematic intensities with the Lorentz-polarization factor, no thermal factor.

Largest 12 diffraction maxima, low angle first, 15° ≤ 2θ ≤ 90°:
index	2θ/deg	intensity
1 1 4	31.11	100
2 0 0	36.01	34
0 0 8	36.23	17
2 2 0	51.84	12
2 0 8	52.01	24
3 1 4	61.70	29
1 1 12	62.01	14
2 2 8	64.88	12
3 3 4	84.72	6
3 1 12	84.99	12
4 2 0	87.43	6
4 0 8	87.57	6

Structure:
Lattice parameters (Å, degrees): 4.989 4.989 19.834 90.00 90.00 90.00
Space group P4/mmm (No. 123)
Unique sites:
Er 0.000 0.000 0.000 [1 per cell]
Er 0.000 0.000 0.249 [2 per cell]
Er 0.000 0.000 0.500 [1 per cell]
Er 0.000 0.500 0.125 [4 per cell]
Er 0.000 0.500 0.375 [4 per cell]
Tm 0.500 0.500 0.000 [1 per cell]
Th 0.500 0.500 0.251 [2 per cell]
Th 0.500 0.500 0.500 [1 per cell]



This entry pairs a crystal structure of InNi7P2 with its simulated powder X-ray diffraction pattern. Radiation: CuKα. Structure: a DFT-relaxed cell (GGA-PBE, Alexandria).
Kinematic intensities with the Lorentz-polarization factor, no thermal factor.

Largest 12 diffraction maxima, low angle first, 15° ≤ 2θ ≤ 90°:
index	2θ/deg	intensity
1 0 3	28.27	18
1 1 0	34.22	9
1 1 2	35.67	36
1 1 4	39.76	39
0 0 8	39.89	25
1 1 6	45.89	100
2 0 0	49.17	57
2 0 8	65.10	21
2 2 0	72.08	17
1 1 14	83.45	15
2 2 8	85.67	17
3 1 6	89.79	27

Structure:
Lattice parameters (Å, degrees): 3.706 3.706 18.079 90.00 90.00 90.00
Space group I4/mmm (No. 139)
Unique sites:
In 0.000 0.000 0.000 [2 per cell]
Ni 0.000 0.000 0.500 [2 per cell]
Ni 0.000 0.500 0.107 [8 per cell]
Ni 0.000 0.500 0.250 [4 per cell]
P 0.000 0.000 0.325 [4 per cell]



This entry pairs a crystal structure of Pm4AlPb3 with its simulated powder X-ray diffraction pattern. Radiation: CuKα. Structure: a DFT-relaxed cell (GGA-PBE, Alexandria).
Kinematic intensities with the Lorentz-polarization factor, no thermal factor.

Largest 12 diffraction maxima, low angle first, 15° ≤ 2θ ≤ 90°:
index	2θ/deg	intensity
1 1 1	28.88	100
0 1 3	29.75	14
0 0 4	30.38	33
1 1 3	36.20	78
1 0 4	36.73	17
0 2 0	38.59	27
2 0 0	40.97	23
0 2 4	49.89	18
2 0 4	51.84	15
2 2 0	57.54	17
2 2 4	66.46	14
1 3 3	68.27	13

Structure:
Lattice parameters (Å, degrees): 4.406 4.666 11.769 90.00 90.00 90.00
Space group Pmm2 (No. 25)
Unique sites:
Pm 0.000 0.000 0.000 [1 per cell]
Pm 0.000 0.500 0.486 [1 per cell]
Pm 0.500 0.000 0.721 [1 per cell]
Pm 0.500 0.500 0.222 [1 per cell]
Al 0.000 0.000 0.273 [1 per cell]
Pb 0.000 0.500 0.759 [1 per cell]
Pb 0.500 0.000 0.438 [1 per cell]
Pb 0.500 0.500 0.951 [1 per cell]